For MnGaFe2, a cell relaxed with PBE gives the calculated X-ray diffraction stick pattern in this record (Cu Kα).
No peak broadening, texture or thermal motion is included.

Largest 5 diffraction maxima, by angle, 2θ from 5° to 70°:
| two_theta | I (rel.) | hkl |
| --- | --- | --- |
| 24.7 | 0.9 | 1 0 0 |
| 34.2 | 0.9 | 1 0 1 |
| 42.7 | 100.0 | 1 1 1 |
| 47.6 | 17.9 | 0 0 2 |
| 50.7 | 29.2 | 2 0 0 |

Crystal structure
```
MnGaFe2
1.0
3.5989 0.0000 0.0000
0.0000 3.5989 0.0000
0.0000 0.0000 3.8239
Mn Ga Fe
1 1 2
direct
0.0000 0.0000 0.0000
0.5000 0.5000 0.0000
0.0000 0.5000 0.5000
0.5000 0.0000 0.5000
```